This entry pairs a crystal structure of Ac2OsPdO8 with its simulated powder diffractogram. Radiation: Cu Kα, 1.54184 Å. Structure: DFT lattice parameters and positions (PBE).

Top 10 peaks for 2θ from 15° to 90°, low angle first:
- 2θ 23.0, d 3.871, rel. 34
- 2θ 24.1, d 3.693, rel. 66
- 2θ 24.7, d 3.608, rel. 51
- 2θ 26.3, d 3.384, rel. 46
- 2θ 27.4, d 3.251, rel. 43
- 2θ 28.3, d 3.152, rel. 100
- 2θ 31.1, d 2.877, rel. 39
- 2θ 31.2, d 2.862, rel. 62
- 2θ 33.5, d 2.679, rel. 58
- 2θ 42.4, d 2.130, rel. 45

Atomic structure:
Cell lengths 4.4667, 5.4204, 7.2847 Å; angles 83.69, 86.30, 83.59 degrees
Positions (direct):
Ac1 0.2014 0.0180 0.2363
Ac2 0.7986 0.9820 0.7637
Os1 0.5000 0.5000 0.5000
Pd1 0.5000 0.5000 0.0000
O1 0.1906 0.7308 0.5653
O2 0.2824 0.8448 0.9330
O3 0.2973 0.2342 0.6083
O4 0.3132 0.4979 0.2624
O5 0.6868 0.5021 0.7376
O6 0.7027 0.7658 0.3917
O7 0.7176 0.1552 0.0670
O8 0.8094 0.2692 0.4347

---

This entry pairs a crystal structure of Pr4MgSe5 with its simulated powder diffractogram. Radiation: Cu Kα, 1.54184 Å. Structure: DFT lattice parameters and positions (PBE).

Top 10 peaks for 2θ from 15° to 90°, low angle first:
- 2θ 30.0, d 2.975, rel. 100
- 2θ 42.5, d 2.125, rel. 36
- 2θ 43.4, d 2.083, rel. 37
- 2θ 52.2, d 1.753, rel. 6
- 2θ 53.7, d 1.706, rel. 19
- 2θ 62.4, d 1.488, rel. 11
- 2θ 70.2, d 1.341, rel. 15
- 2θ 71.5, d 1.320, rel. 16
- 2θ 79.1, d 1.211, rel. 11
- 2θ 79.7, d 1.203, rel. 6

Atomic structure:
Cell lengths 17.6922, 17.6922, 17.6922 Å; angles 13.52, 13.52, 13.52 degrees
Positions (direct):
Pr1 0.1008 0.1008 0.1008
Pr2 0.2980 0.2980 0.2980
Pr3 0.7020 0.7020 0.7020
Pr4 0.8992 0.8992 0.8992
Mg1 0.5000 0.5000 0.5000
Se1 0.0000 0.0000 0.0000
Se2 0.1950 0.1950 0.1950
Se3 0.4017 0.4017 0.4017
Se4 0.5983 0.5983 0.5983
Se5 0.8050 0.8050 0.8050

---

This entry pairs a crystal structure of GaS3Br3 with its simulated powder diffractogram. Radiation: Cu Kα, 1.54184 Å. Structure: DFT lattice parameters and positions (PBE).

Top 10 peaks for 2θ from 15° to 90°, low angle first:
- 2θ 15.2, d 5.835, rel. 100
- 2θ 15.5, d 5.707, rel. 16
- 2θ 16.1, d 5.506, rel. 26
- 2θ 19.8, d 4.493, rel. 63
- 2θ 22.1, d 4.025, rel. 29
- 2θ 22.3, d 3.983, rel. 19
- 2θ 23.4, d 3.810, rel. 19
- 2θ 26.1, d 3.418, rel. 16
- 2θ 26.2, d 3.398, rel. 25
- 2θ 31.0, d 2.888, rel. 16

Atomic structure:
Cell lengths 6.7761, 7.4674, 12.4204 Å; angles 84.08, 85.42, 68.25 degrees
Positions (direct):
Ga1 0.0717 0.4233 0.3695
Ga2 0.9283 0.5767 0.6305
S1 0.3309 0.1005 0.1891
S2 0.3620 0.1576 0.3476
S3 0.4204 0.2732 0.0816
S4 0.5796 0.7268 0.9184
S5 0.6380 0.8424 0.6524
S6 0.6691 0.8995 0.8109
Br1 0.1353 0.3973 0.7692
Br2 0.1659 0.6436 0.4779
Br3 0.2194 0.8487 0.9445
Br4 0.7806 0.1513 0.0555
Br5 0.8341 0.3564 0.5221
Br6 0.8647 0.6027 0.2308

---

This entry pairs a crystal structure of Nd2SiO5 with its simulated powder diffractogram. Radiation: Cu Kα, 1.54184 Å. Structure: DFT lattice parameters and positions (PBE).

Top 10 peaks for 2θ from 15° to 90°, low angle first:
- 2θ 15.5, d 5.705, rel. 45
- 2θ 20.2, d 4.406, rel. 41
- 2θ 27.5, d 3.248, rel. 100
- 2θ 28.3, d 3.150, rel. 74
- 2θ 30.4, d 2.938, rel. 44
- 2θ 30.8, d 2.902, rel. 70
- 2θ 31.5, d 2.839, rel. 77
- 2θ 32.1, d 2.787, rel. 43
- 2θ 44.8, d 2.024, rel. 50
- 2θ 46.4, d 1.955, rel. 43

Atomic structure:
Cell lengths 9.3009, 7.4853, 6.8970 Å; angles 90.00, 108.64, 90.00 degrees
Positions (direct):
Nd1 0.0181 0.1259 0.2320
Nd2 0.0181 0.3741 0.7320
Nd3 0.3900 0.1577 0.0936
Nd4 0.3900 0.3423 0.5936
Nd5 0.6100 0.6577 0.4064
Nd6 0.6100 0.8423 0.9064
Nd7 0.9819 0.6259 0.2680
Nd8 0.9819 0.8741 0.7680
Si1 0.2991 0.5774 0.0432
Si2 0.2991 0.9226 0.5432
Si3 0.7009 0.0774 0.4568
Si4 0.7009 0.4226 0.9568
O1 0.1141 0.1238 0.9508
O2 0.1141 0.3762 0.4508
O3 0.1189 0.6333 0.9948
O4 0.1189 0.8667 0.4948
O5 0.2909 0.0753 0.3644
O6 0.2909 0.4247 0.8644
O7 0.3693 0.0397 0.7555
O8 0.3693 0.4603 0.2555
O9 0.4110 0.7445 0.0534
O10 0.4110 0.7555 0.5534
O11 0.5890 0.2445 0.4466
O12 0.5890 0.2555 0.9466
O13 0.6307 0.5397 0.7445
O14 0.6307 0.9603 0.2445
O15 0.7091 0.5753 0.1356
O16 0.7091 0.9247 0.6356
O17 0.8811 0.1333 0.5052
O18 0.8811 0.3667 0.0052
O19 0.8859 0.6238 0.5492
O20 0.8859 0.8762 0.0492

---

This entry pairs a crystal structure of LaTbTl4 with its simulated powder diffractogram. Radiation: Cu Kα, 1.54184 Å. Structure: DFT lattice parameters and positions (PBE).

Top 10 peaks for 2θ from 15° to 90°, low angle first:
- 2θ 30.6, d 2.925, rel. 51
- 2θ 30.7, d 2.915, rel. 100
- 2θ 35.1, d 2.556, rel. 37
- 2θ 35.2, d 2.548, rel. 72
- 2θ 47.2, d 1.925, rel. 31
- 2θ 47.6, d 1.912, rel. 15
- 2θ 51.3, d 1.781, rel. 23
- 2θ 60.3, d 1.536, rel. 30
- 2θ 60.5, d 1.531, rel. 14
- 2θ 74.8, d 1.269, rel. 15

Atomic structure:
Cell lengths 3.8870, 5.1112, 8.8167 Å; angles 90.00, 90.38, 90.00 degrees
Positions (direct):
La1 0.0000 0.0000 0.0000
Tb1 0.0000 0.5000 0.5000
Tl1 0.3564 0.0000 0.6612
Tl2 0.3801 0.5000 0.1731
Tl3 0.6199 0.5000 0.8269
Tl4 0.6436 0.0000 0.3388

---

This entry pairs a crystal structure of Be6CuIr with its simulated powder diffractogram. Radiation: Cu Kα, 1.54184 Å. Structure: DFT lattice parameters and positions (PBE).

Top 10 peaks for 2θ from 15° to 90°, low angle first:
- 2θ 20.9, d 4.259, rel. 28
- 2θ 29.7, d 3.011, rel. 100
- 2θ 36.5, d 2.459, rel. 9
- 2θ 42.5, d 2.129, rel. 23
- 2θ 47.8, d 1.905, rel. 14
- 2θ 52.6, d 1.739, rel. 49
- 2θ 61.6, d 1.506, rel. 13
- 2θ 65.8, d 1.420, rel. 7
- 2θ 69.8, d 1.347, rel. 17
- 2θ 85.3, d 1.138, rel. 24

Atomic structure:
Cell lengths 4.2588, 4.2588, 4.2588 Å; angles 90.00, 90.00, 90.00 degrees
Positions (direct):
Be1 0.0000 0.2470 0.5000
Be2 0.0000 0.7530 0.5000
Be3 0.2470 0.5000 0.0000
Be4 0.5000 0.0000 0.2470
Be5 0.5000 0.0000 0.7530
Be6 0.7530 0.5000 0.0000
Cu1 0.5000 0.5000 0.5000
Ir1 0.0000 0.0000 0.0000

---

This entry pairs a crystal structure of Ba2AlGe3 with its simulated powder diffractogram. Radiation: Cu Kα, 1.54184 Å. Structure: DFT lattice parameters and positions (PBE).

Top 10 peaks for 2θ from 15° to 90°, low angle first:
- 2θ 23.1, d 3.847, rel. 12
- 2θ 29.2, d 3.058, rel. 100
- 2θ 35.6, d 2.521, rel. 19
- 2θ 40.6, d 2.224, rel. 23
- 2θ 40.7, d 2.215, rel. 12
- 2θ 50.7, d 1.801, rel. 7
- 2θ 50.9, d 1.795, rel. 14
- 2θ 55.1, d 1.668, rel. 19
- 2θ 55.2, d 1.664, rel. 10
- 2θ 60.1, d 1.540, rel. 8

Atomic structure:
Cell lengths 4.4303, 5.0425, 7.7143 Å; angles 90.00, 90.00, 90.00 degrees
Positions (direct):
Ba1 0.0000 0.0000 0.0000
Ba2 0.5000 0.0000 0.4795
Al1 0.0000 0.5000 0.6587
Ge1 0.0000 0.5000 0.3282
Ge2 0.5000 0.5000 0.1554
Ge3 0.5000 0.5000 0.8177